This entry pairs a crystal structure of GaO2 with its theoretical powder diffraction line list. Radiation: CuKα. Structure: a crystal structure in the Materials Project, relaxed with GGA-PBE.

Largest 8 diffraction maxima, low angle first, 10 to 90 degrees two-theta:
2θ = 19.66°, I 21
2θ = 30.38°, I 96
2θ = 31.73°, I 100
2θ = 34.88°, I 34
2θ = 48.16°, I 33
2θ = 52.69°, I 55
2θ = 61.38°, I 24
2θ = 63.95°, I 20

```
GaO2
1.0
0.0000 3.7674 4.7109
3.5198 0.0000 4.7109
3.5198 3.7674 0.0000
Ga O
4 8
direct
0.0837 0.6663 0.0837
0.3337 0.9163 0.3337
0.6663 0.0837 0.6663
0.9163 0.3337 0.9163
0.0000 0.5000 0.5000
0.0099 0.0099 0.7401
0.2599 0.2599 0.9901
0.5000 0.0000 0.5000
0.5000 0.5000 0.0000
0.5000 0.5000 0.5000
0.7401 0.7401 0.0099
0.9901 0.9901 0.2599
```



This entry pairs a crystal structure of ZrCrAgS4 with its theoretical powder diffraction line list. Radiation: CuKα. Structure: a crystal structure in the Materials Project, relaxed with GGA-PBE.

Largest 8 diffraction maxima, low angle first, 10 to 90 degrees two-theta:
2θ = 20.64°, I 39
2θ = 27.13°, I 100
2θ = 29.21°, I 47
2θ = 33.01°, I 75
2θ = 34.93°, I 39
2θ = 40.29°, I 43
2θ = 40.92°, I 39
2θ = 49.25°, I 40

```
ZrCrAgS4
1.0
3.6235 0.0000 0.0000
0.0000 11.3767 0.0000
0.0000 0.0000 13.1619
Zr Cr Ag S
4 4 4 16
direct
0.0000 0.1628 0.0000
0.0000 0.6847 0.1873
0.5000 0.3153 0.6873
0.5000 0.8372 0.5000
0.0000 0.1990 0.4677
0.0000 0.6763 0.6858
0.5000 0.3237 0.1858
0.5000 0.8010 0.9677
0.0000 0.0069 0.2706
0.0000 0.5050 0.4145
0.5000 0.4950 0.9145
0.5000 0.9931 0.7706
0.0000 0.1619 0.6488
0.0000 0.2862 0.2988
0.0000 0.3716 0.0662
0.0000 0.4636 0.7448
0.0000 0.6602 0.9990
0.0000 0.7871 0.3698
0.0000 0.8769 0.6329
0.0000 0.9405 0.9349
0.5000 0.0595 0.4349
0.5000 0.1231 0.1329
0.5000 0.2129 0.8698
0.5000 0.3398 0.4990
0.5000 0.5364 0.2448
0.5000 0.6284 0.5662
0.5000 0.7138 0.7988
0.5000 0.8381 0.1488
```